No. 1
Starting from a DFT-relaxed cell (GGA-PBE, Alexandria), the X-ray diffraction stick pattern of DyEr8Al2 was computed for Cu Kα (weighted mean of Kα1 and Kα2).

Largest 10 diffraction maxima, by angle, 5 to 70 degrees two-theta:
- 28.26 deg, intensity 22
- 31.09 deg, intensity 16
- 32.28 deg, intensity 94
- 32.65 deg, intensity 100
- 34.42 deg, intensity 42
- 34.93 deg, intensity 46
- 43.09 deg, intensity 17
- 49.85 deg, intensity 30
- 56.63 deg, intensity 16
- 61.21 deg, intensity 17

Crystal structure
abc: 16.220 5.137 8.127
angles: 90.00 114.09 90.00
Space group C2/m (No. 12)
Unique sites:
Dy: 0.000 0.000 0.000 (multiplicity 2)
Er: 0.056 0.500 0.734 (multiplicity 4)
Er: 0.109 0.000 0.472 (multiplicity 4)
Er: 0.153 0.500 0.221 (multiplicity 4)
Er: 0.188 0.000 0.951 (multiplicity 4)
Al: 0.225 0.500 0.642 (multiplicity 4)

***

No. 2
Starting from a DFT-relaxed cell (GGA-PBE, Alexandria), the X-ray diffraction stick pattern of Dy2Er3Al2 was computed for Cu Kα (weighted mean of Kα1 and Kα2).

Largest 10 diffraction maxima, by angle, 5 to 70 degrees two-theta:
- 21.02 deg, intensity 12
- 24.89 deg, intensity 13
- 27.45 deg, intensity 40
- 33.41 deg, intensity 91
- 34.23 deg, intensity 100
- 44.43 deg, intensity 11
- 48.58 deg, intensity 32
- 59.24 deg, intensity 30
- 60.77 deg, intensity 33
- 61.30 deg, intensity 19

Crystal structure
abc: 5.2385 5.2385 23.2793
angles: 90.00 90.00 120.00
Space group R-3m (No. 166, hexagonal axes)
Unique sites:
Dy: 0.0000 0.0000 0.0825 (multiplicity 6)
Er: 0.0000 0.0000 0.3478 (multiplicity 6)
Er: 0.0000 0.0000 0.5000 (multiplicity 3)
Al: 0.0000 0.0000 0.2183 (multiplicity 6)

***

No. 3
Starting from a DFT-relaxed cell (GGA-PBE, Alexandria), the X-ray diffraction stick pattern of Dy2Er3Al2 was computed for Cu Kα (weighted mean of Kα1 and Kα2).

Largest 10 diffraction maxima, by angle, 5 to 70 degrees two-theta:
- 7.46 deg, intensity 26
- 19.57 deg, intensity 33
- 27.75 deg, intensity 30
- 32.80 deg, intensity 100
- 33.31 deg, intensity 72
- 38.98 deg, intensity 34
- 40.72 deg, intensity 33
- 57.64 deg, intensity 24
- 65.51 deg, intensity 27
- 68.81 deg, intensity 29

Crystal structure
abc: 4.621 23.688 3.341
angles: 90.00 90.00 90.00
Space group Cmmm (No. 65)
Unique sites:
Dy: 0.000 0.210 0.000 (multiplicity 4)
Er: 0.000 0.366 0.500 (multiplicity 4)
Er: 0.000 0.500 0.500 (multiplicity 2)
Al: 0.000 0.067 0.000 (multiplicity 4)

***

No. 4
Starting from a DFT-relaxed cell (GGA-PBE, Alexandria), the X-ray diffraction stick pattern of PrDyErAl was computed for Cu Kα (weighted mean of Kα1 and Kα2).

Largest 10 diffraction maxima, by angle, 5 to 70 degrees two-theta:
- 25.17 deg, intensity 11
- 27.04 deg, intensity 31
- 29.44 deg, intensity 19
- 32.04 deg, intensity 100
- 35.90 deg, intensity 45
- 47.08 deg, intensity 21
- 51.68 deg, intensity 16
- 54.52 deg, intensity 12
- 56.88 deg, intensity 18
- 62.11 deg, intensity 30

Crystal structure
abc: 3.538 3.538 9.102
angles: 90.00 90.00 90.00
Space group P4mm (No. 99)
Unique sites:
Pr: 0.000 0.000 0.000 (multiplicity 1)
Dy: 0.500 0.500 0.705 (multiplicity 1)
Er: 0.500 0.500 0.290 (multiplicity 1)
Al: 0.000 0.000 0.496 (multiplicity 1)